Ca5Sn3: simulated X-ray diffraction stick pattern (copper Kα), based on a DFT-relaxed cell (GGA-PBE, the Materials Project).
Peak positions follow from Bragg's law for the DFT cell and can differ from measured ones.

Atomic structure:
Cell: 9.6856 9.6856 9.6856 Å, 130.37 130.37 72.81°
Fractional positions:
Ca 0.0000 0.0000 0.0000
Ca 0.0318 0.5318 0.8491
Ca 0.1826 0.0318 0.5000
Ca 0.3174 0.8174 0.8491
Ca 0.4682 0.3174 0.5000
Ca 0.5000 0.5000 0.0000
Ca 0.5318 0.6826 0.5000
Ca 0.6826 0.1826 0.1509
Ca 0.8174 0.9682 0.5000
Ca 0.9682 0.4682 0.1509
Sn 0.1257 0.3743 0.5000
Sn 0.2500 0.2500 0.0000
Sn 0.3743 0.8743 0.2486
Sn 0.6257 0.1257 0.7514
Sn 0.7500 0.7500 0.0000
Sn 0.8743 0.6257 0.5000

Most intense lines, 2θ = 10–80°, by angle:
| d (Å) | Position (°2θ) | I/Imax |
| --- | --- | --- |
| 7.795 | 11.35 | 23.5 |
| 4.626 | 19.18 | 64.9 |
| 3.898 | 22.82 | 18.8 |
| 2.979 | 30.00 | 100.0 |
| 2.813 | 31.81 | 33.7 |
| 2.571 | 34.90 | 54.8 |
| 2.367 | 38.01 | 42.8 |
| 2.146 | 42.11 | 23.9 |
| 1.967 | 46.16 | 19.0 |
| 1.553 | 59.52 | 19.7 |